# AcTlPb
Theoretical powder X-ray diffraction pattern, λ = 1.5418 Å (Cu Kα). Input: a crystal structure in Alexandria, relaxed with GGA-PBE.
Peak positions follow from Bragg's law for the DFT cell and can differ from measured ones.

Crystal structure
```
AcTlPb
1.0
5.0084 0.0000 0.0000
-2.5042 4.3374 0.0000
0.0000 0.0000 4.7922
Ac Tl Pb
1 1 1
Direct
0.0000 0.0000 0.0000
0.3333 0.6667 0.6397
0.6667 0.3333 0.3938
```

Largest 10 diffraction maxima, by angle, 10 to 80 degrees two-theta:
Position (°2θ)	d_spacing	I (rel.)
27.7	3.216	100
35.9	2.504	52
43.1	2.097	27
45.9	1.976	26
57.3	1.608	12
59.6	1.551	25
64.4	1.446	10
69.5	1.353	14
69.8	1.347	10
76.0	1.252	6

=====

# RbMgTl4Cd2
Theoretical powder X-ray diffraction pattern, λ = 1.5418 Å (Cu Kα). Input: a crystal structure in Alexandria, relaxed with GGA-PBE.
Peak positions follow from Bragg's law for the DFT cell and can differ from measured ones.

Crystal structure
```
RbMgTl4Cd2
1.0
2.5862 1.4931 11.0393
-2.5862 1.4931 11.0393
0.0000 -2.9863 11.0393
Rb Mg Tl Cd
1 1 4 2
Direct
0.0000 0.0000 0.0000
0.5000 0.5000 0.5000
0.1301 0.1301 0.1301
0.4032 0.4032 0.4032
0.5968 0.5968 0.5968
0.8699 0.8699 0.8699
0.2352 0.2352 0.2352
0.7648 0.7648 0.7648
```

Largest 10 diffraction maxima, by angle, 10 to 80 degrees two-theta:
Position (°2θ)	d_spacing	I (rel.)
16.1	5.520	21
22.6	3.940	30
24.0	3.711	21
27.4	3.253	26
29.4	3.040	63
34.7	2.586	100
35.9	2.499	52
50.8	1.797	20
62.2	1.493	19
63.0	1.476	21

=====

# LiCa2CuN2
Theoretical powder X-ray diffraction pattern, λ = 1.5418 Å (Cu Kα). Input: a crystal structure in Alexandria, relaxed with GGA-PBE.
Peak positions follow from Bragg's law for the DFT cell and can differ from measured ones.

Crystal structure
```
LiCa2CuN2
1.0
5.3040 0.0000 0.0000
0.0000 5.3040 0.0000
0.0000 0.0000 6.6176
Li Ca Cu N
2 4 2 4
Direct
0.0000 0.0000 0.0000
0.5000 0.5000 0.5000
0.0000 0.5000 0.2500
0.0000 0.5000 0.7500
0.5000 0.0000 0.2500
0.5000 0.0000 0.7500
0.0000 0.0000 0.5000
0.5000 0.5000 0.0000
0.2480 0.2480 0.5000
0.2520 0.7480 0.0000
0.7480 0.2520 0.0000
0.7520 0.7520 0.5000
```

Largest 10 diffraction maxima, by angle, 10 to 80 degrees two-theta:
Position (°2θ)	d_spacing	I (rel.)
21.5	4.139	63
33.8	2.652	42
36.2	2.481	100
40.4	2.233	24
44.5	2.037	9
48.5	1.875	27
55.5	1.654	9
62.0	1.496	37
66.6	1.404	11
76.8	1.241	12

=====

# PmSmTm2
Theoretical powder X-ray diffraction pattern, λ = 1.5418 Å (Cu Kα). Input: a crystal structure in Alexandria, relaxed with GGA-PBE.
Peak positions follow from Bragg's law for the DFT cell and can differ from measured ones.

Crystal structure
```
PmSmTm2
1.0
6.2786 0.0000 0.0000
0.0000 7.2594 0.0000
-0.0093 0.0000 11.3700
Pm Sm Tm
4 4 8
Direct
0.1651 0.2483 0.3779
0.1651 0.7517 0.8779
0.8349 0.2483 0.1221
0.8349 0.7517 0.6221
0.3327 0.4992 0.1252
0.3327 0.5008 0.6252
0.6673 0.4992 0.3748
0.6673 0.5008 0.8748
0.1686 0.2451 0.8727
0.1686 0.7549 0.3727
0.3338 0.0003 0.1252
0.3338 0.9997 0.6252
0.6662 0.0003 0.3748
0.6662 0.9997 0.8748
0.8314 0.2451 0.6273
0.8314 0.7549 0.1273
```

Largest 10 diffraction maxima, by angle, 10 to 80 degrees two-theta:
Position (°2θ)	d_spacing	I (rel.)
28.4	3.141	24
31.5	2.842	24
32.6	2.750	100
42.9	2.108	16
50.3	1.814	20
56.7	1.623	21
60.6	1.529	23
61.2	1.514	16
68.2	1.375	4
79.2	1.209	7

=====

# Y4HgSbC
Theoretical powder X-ray diffraction pattern, λ = 1.5418 Å (Cu Kα). Input: a crystal structure in Alexandria, relaxed with GGA-PBE.
Peak positions follow from Bragg's law for the DFT cell and can differ from measured ones.

Crystal structure
```
Y4HgSbC
1.0
3.4139 -7.7719 0.0000
3.4139 7.7719 0.0000
0.0000 0.0000 6.8084
Y Hg Sb C
8 2 2 2
Direct
0.0000 0.5000 0.0000
0.0000 0.5000 0.5000
0.0838 0.9162 0.7500
0.4098 0.5902 0.7500
0.5000 0.0000 0.0000
0.5000 0.0000 0.5000
0.5902 0.4098 0.2500
0.9162 0.0838 0.2500
0.1141 0.8859 0.2500
0.8859 0.1141 0.7500
0.3894 0.6106 0.2500
0.6106 0.3894 0.7500
0.2502 0.7498 0.7500
0.7498 0.2502 0.2500
```

Largest 10 diffraction maxima, by angle, 10 to 80 degrees two-theta:
Position (°2θ)	d_spacing	I (rel.)
19.3	4.605	13
26.1	3.409	35
28.6	3.122	47
34.3	2.613	13
34.6	2.591	20
35.0	2.563	100
37.3	2.411	60
51.8	1.765	25
65.7	1.420	16
65.9	1.418	16

=====

# LaPu4Ge4
Theoretical powder X-ray diffraction pattern, λ = 1.5418 Å (Cu Kα). Input: a crystal structure in Alexandria, relaxed with GGA-PBE.
Peak positions follow from Bragg's law for the DFT cell and can differ from measured ones.

Crystal structure
```
LaPu4Ge4
1.0
8.8296 0.0000 0.0000
0.0000 8.8296 0.0000
0.0000 0.0000 5.7077
La Pu Ge
2 8 8
Direct
0.2500 0.2500 0.2500
0.7500 0.7500 0.7500
0.0954 0.8382 0.6068
0.1618 0.5954 0.1068
0.3382 0.9046 0.1068
0.4046 0.6618 0.6068
0.5954 0.3382 0.3932
0.6618 0.0954 0.8932
0.8382 0.4046 0.8932
0.9046 0.1618 0.3932
0.0228 0.1216 0.8794
0.1216 0.4772 0.6206
0.3784 0.0228 0.6206
0.4772 0.3784 0.8794
0.5228 0.6216 0.1206
0.6216 0.9772 0.3794
0.8784 0.5228 0.3794
0.9772 0.8784 0.1206
```

Largest 10 diffraction maxima, by angle, 10 to 80 degrees two-theta:
Position (°2θ)	d_spacing	I (rel.)
14.2	6.243	50
27.5	3.247	44
32.1	2.792	100
32.7	2.739	83
33.0	2.716	95
34.3	2.616	43
35.8	2.508	61
40.1	2.250	50
53.5	1.713	51
61.8	1.502	40